Record 1
# Na3Hf
Theoretical powder diffraction line list, λ = 1.5418 Å (Cu Kα). Input: a PBE-relaxed structure.
Lines closer than 0.1° are merged.

Cell and atoms:
a = 6.9265 Å, b = 6.9265 Å, c = 5.6498 Å
α = 90.00°, β = 90.00°, γ = 120.00°
Atoms (fractional coordinates):
Na: 0.1679 0.3357 0.2500
Na: 0.1679 0.8321 0.2500
Na: 0.3357 0.1679 0.7500
Na: 0.6643 0.8321 0.2500
Na: 0.8321 0.1679 0.7500
Na: 0.8321 0.6643 0.7500
Hf: 0.3333 0.6667 0.7500
Hf: 0.6667 0.3333 0.2500

Top 10 peaks for 2θ = 5–70°, in order of rising 2θ:
| 2θ/deg | I/Imax |
| --- | --- |
| 14.8 | 40 |
| 21.6 | 100 |
| 25.7 | 44 |
| 29.8 | 21 |
| 31.7 | 24 |
| 33.8 | 90 |
| 41.2 | 26 |
| 43.0 | 35 |
| 57.8 | 34 |
| 64.3 | 24 |

---

Record 2
# Na3Hf
Theoretical powder diffraction line list, λ = 1.5418 Å (Cu Kα). Input: a PBE-relaxed structure.
Lines closer than 0.1° are merged.

Cell and atoms:
a = 4.8652 Å, b = 4.8652 Å, c = 4.8652 Å
α = 90.00°, β = 90.00°, γ = 90.00°
Atoms (fractional coordinates):
Na: 0.0000 0.0000 0.5000
Na: 0.0000 0.5000 0.0000
Na: 0.5000 0.0000 0.0000
Hf: 0.5000 0.5000 0.5000

Top 10 peaks for 2θ = 5–70°, in order of rising 2θ:
| 2θ/deg | I/Imax |
| --- | --- |
| 18.2 | 100 |
| 25.9 | 87 |
| 31.9 | 94 |
| 37.0 | 47 |
| 41.5 | 51 |
| 45.7 | 39 |
| 53.3 | 33 |
| 56.8 | 26 |
| 60.1 | 18 |
| 63.4 | 38 |